# RbCoCl3
Computed XRD peak list, Cu Kα, 1.54184 Å. Input: the GGA-PBE geometry in OQMD.
Peak positions follow from Bragg's law for the DFT cell and can differ from measured ones.

Atomic structure:
Cell: 7.0231 7.0231 5.8779 Å, 90.00 90.00 120.00°
Space group P6_3/mmc (No. 194)
Inequivalent atoms, fractional coordinates:
Rb 0.3333 0.6667 0.2500 (multiplicity 2)
Co 0.0000 0.0000 0.0000 (multiplicity 2)
Cl 0.1587 0.3174 0.7500 (multiplicity 6)

Principal peaks in the range 10 to 80 degrees two-theta, in order of rising 2θ:
- 14.6°, I = 29, (1 0 0)
- 21.0°, I = 24, (1 0 1)
- 25.4°, I = 46, (1 1 0)
- 33.2°, I = 100, (2 0 1)
- 33.9°, I = 22, (1 0 2)
- 42.8°, I = 42, (2 0 2)
- 50.4°, I = 21, (2 1 2)
- 52.1°, I = 29, (2 2 0)

# ScCoCl6
Computed XRD peak list, Cu Kα, 1.54184 Å. Input: the GGA-PBE geometry in OQMD.
Peak positions follow from Bragg's law for the DFT cell and can differ from measured ones.

Atomic structure:
Cell: 6.0848 10.5174 6.3257 Å, 90.00 108.70 90.00°
Space group C2 (No. 5)
Inequivalent atoms, fractional coordinates:
Sc 0.0000 0.0000 0.0000 (multiplicity 2)
Co 0.0000 0.3330 0.0000 (multiplicity 2)
Cl 0.2167 0.1804 0.2264 (multiplicity 4)
Cl 0.2268 0.3377 0.7776 (multiplicity 4)
Cl 0.2319 0.4811 0.2243 (multiplicity 4)

Principal peaks in the range 10 to 80 degrees two-theta, in order of rising 2θ:
- 14.8°, I = 69, (0 0 1)
- 17.5°, I = 28, (1 1 0)
- 19.5°, I = 17, (1 1 -1)
- 29.8°, I = 22, (0 0 2)
- 35.7°, I = 100, (1 3 1)
- 50.5°, I = 30, (2 0 2)
- 52.1°, I = 27, (0 6 0)
- 64.8°, I = 17, (2 6 -2)